Ac2HfN3: theoretical powder diffractogram (Cu Kα), based on a cell relaxed with PBE.
Lines closer than 0.1° are merged.

Largest 12 diffraction maxima, by angle, 10 to 90 degrees two-theta:
2theta, d/Å, I (rel.)
25.99, 3.428, 41.3
27.19, 3.280, 27.6
27.63, 3.228, 37.7
27.86, 3.203, 38.2
28.24, 3.161, 26.3
29.82, 2.996, 100.0
30.20, 2.960, 93.7
30.90, 2.894, 87.1
31.73, 2.820, 33.4
33.07, 2.709, 34.1
38.05, 2.365, 30.1
52.70, 1.737, 42.0

Structural model:
Unit cell a=6.001 b=11.771 c=12.929 alpha=90.00 beta=92.91 gamma=90.00
Space group C2/c (No. 15)
Unique sites:
1 Ac 0.226 0.117 0.427 [8 per cell]
2 Ac 0.228 0.199 0.857 [8 per cell]
3 Hf 0.215 0.497 0.831 [8 per cell]
4 N 0.000 0.008 0.750 [4 per cell]
5 N 0.000 0.376 0.750 [4 per cell]
6 N 0.175 0.332 0.379 [8 per cell]
7 N 0.205 0.102 0.043 [8 per cell]